Record 1
Starting from a crystal structure in OQMD, relaxed with PBE, the X-ray powder pattern of Rb2PdCl2F2 was calculated for CuKα.
No peak broadening, texture or thermal motion is included.

Most intense lines, 5 to 70 degrees two-theta, in order of rising 2θ:
2θ/deg, Rel. int.
13.8, 59
26.7, 25
27.8, 34
28.4, 100
31.9, 46
34.0, 37
54.0, 26
57.5, 30

Structure:
```
Rb2PdCl2F2
1.0
8.0786 0.0000 0.0000
0.0000 10.5363 0.0000
0.0000 0.0000 3.9073
Rb Pd Cl F
4 2 4 4
direct
0.2500 0.2500 0.0000 Rb
0.2500 0.7500 0.0000 Rb
0.7500 0.2500 0.0000 Rb
0.7500 0.7500 0.0000 Rb
0.0000 0.0000 0.5000 Pd
0.5000 0.5000 0.5000 Pd
0.2129 0.5000 0.5000 Cl
0.2871 0.0000 0.5000 Cl
0.7129 0.0000 0.5000 Cl
0.7871 0.5000 0.5000 Cl
0.0000 0.1908 0.5000 F
0.0000 0.8092 0.5000 F
0.5000 0.3092 0.5000 F
0.5000 0.6908 0.5000 F
```

***

Record 2
Starting from a crystal structure in OQMD, relaxed with PBE, the X-ray powder pattern of KRb2ZrF7 was calculated for CuKα.
No peak broadening, texture or thermal motion is included.

Most intense lines, 5 to 70 degrees two-theta, in order of rising 2θ:
2θ/deg, Rel. int.
16.9, 30
25.6, 44
27.3, 100
28.1, 50
31.2, 25
43.5, 41
46.7, 32
54.2, 22

Structure:
```
KRb2ZrF7
1.0
4.1158 -4.0010 0.0000
4.1158 4.0010 0.0000
-3.5725 0.0000 5.6455
K Rb Zr F
1 2 1 7
direct
0.0000 0.0000 0.0000 K
0.2662 0.7464 0.4838 Rb
0.7464 0.2662 0.4838 Rb
0.4566 0.4566 0.9577 Zr
0.1563 0.1563 0.7420 F
0.1576 0.6078 0.7744 F
0.3541 0.3541 0.1810 F
0.4742 0.8162 0.2087 F
0.6078 0.1576 0.7744 F
0.6428 0.6428 0.8379 F
0.8162 0.4742 0.2087 F
```

***

Record 3
Starting from a crystal structure in OQMD, relaxed with PBE, the X-ray powder pattern of Li2ZnCdGa2Pt2 was calculated for CuKα.
No peak broadening, texture or thermal motion is included.

Most intense lines, 5 to 70 degrees two-theta, in order of rising 2θ:
2θ/deg, Rel. int.
24.7, 100
40.9, 100
41.0, 51
48.3, 15
48.5, 33
59.1, 8
59.4, 17
65.2, 12

Structure:
```
Li2ZnCdGa2Pt2
1.0
4.3999 0.0000 0.0000
0.0000 4.3999 0.0000
0.0000 0.0000 6.2565
Li Zn Cd Ga Pt
2 1 1 2 2
direct
0.0000 0.5000 0.2356 Li
0.5000 0.0000 0.7644 Li
0.0000 0.0000 0.0000 Zn
0.5000 0.5000 0.5000 Cd
0.0000 0.0000 0.5000 Ga
0.5000 0.5000 0.0000 Ga
0.0000 0.5000 0.7692 Pt
0.5000 0.0000 0.2308 Pt
```

***

Record 4
Starting from a crystal structure in OQMD, relaxed with PBE, the X-ray powder pattern of CsGeIrS5 was calculated for CuKα.
No peak broadening, texture or thermal motion is included.

Most intense lines, 5 to 70 degrees two-theta, in order of rising 2θ:
2θ/deg, Rel. int.
10.4, 44
13.7, 100
19.4, 51
20.5, 31
24.9, 51
26.4, 40
27.3, 40
31.5, 48

Structure:
```
CsGeIrS5
1.0
7.1385 0.0000 0.0000
2.2279 7.1551 0.0000
1.8576 3.1161 8.5295
Cs Ge Ir S
2 2 2 10
direct
0.1055 0.3536 0.3064 Cs
0.8945 0.6464 0.6936 Cs
0.4798 0.6972 0.3568 Ge
0.5202 0.3028 0.6432 Ge
0.2533 0.0120 0.9709 Ir
0.7467 0.9880 0.0291 Ir
0.0571 0.8069 0.9686 S
0.1916 0.8768 0.2643 S
0.2871 0.1351 0.7001 S
0.4137 0.6285 0.6237 S
0.4442 0.2177 0.9798 S
0.5558 0.7823 0.0202 S
0.5863 0.3715 0.3763 S
0.7129 0.8649 0.2999 S
0.8084 0.1232 0.7357 S
0.9429 0.1931 0.0314 S
```